No. 1
Structure and calculated powder XRD pattern of Dy2MnCo5B2 (a cell relaxed with PBE; CuKα).
Peak positions follow from Bragg's law for the DFT cell and can differ from measured ones.

Crystal structure
Lattice parameters (Å, degrees): 9.046 9.046 3.029 90.00 90.00 90.00
Positions (direct):
Dy 0.178 0.322 0.000
Dy 0.322 0.822 0.000
Dy 0.678 0.178 0.000
Dy 0.822 0.678 0.000
Mn 0.000 0.000 0.000
Mn 0.500 0.500 0.000
Co 0.000 0.500 0.500
Co 0.067 0.773 0.500
Co 0.227 0.067 0.500
Co 0.273 0.567 0.500
Co 0.433 0.273 0.500
Co 0.500 0.000 0.500
Co 0.567 0.727 0.500
Co 0.727 0.433 0.500
Co 0.773 0.933 0.500
Co 0.933 0.227 0.500
B 0.118 0.618 0.000
B 0.382 0.118 0.000
B 0.618 0.882 0.000
B 0.882 0.382 0.000

Largest 10 diffraction maxima, by angle, 10 to 90 degrees two-theta:
d = 4.045 Å, rel. 35
d = 2.424 Å, rel. 88
d = 2.195 Å, rel. 100
d = 2.132 Å, rel. 21
d = 2.080 Å, rel. 59
d = 2.023 Å, rel. 18
d = 1.932 Å, rel. 17
d = 1.350 Å, rel. 18
d = 1.280 Å, rel. 19
d = 1.246 Å, rel. 22

***

No. 2
Structure and calculated powder XRD pattern of U3Co2Si7 (a cell relaxed with PBE; CuKα).
Peak positions follow from Bragg's law for the DFT cell and can differ from measured ones.

Crystal structure
Lattice parameters (Å, degrees): 12.307 12.307 4.022 90.00 90.00 161.39
Positions (direct):
U 0.000 0.000 0.000
U 0.314 0.686 0.500
U 0.686 0.314 0.500
Co 0.128 0.872 0.000
Co 0.872 0.128 0.000
Si 0.087 0.913 0.500
Si 0.222 0.778 0.000
Si 0.413 0.587 0.000
Si 0.500 0.500 0.500
Si 0.587 0.413 0.000
Si 0.778 0.222 0.000
Si 0.913 0.087 0.500

Largest 10 diffraction maxima, by angle, 10 to 90 degrees two-theta:
d = 4.048 Å, rel. 36
d = 3.818 Å, rel. 58
d = 3.571 Å, rel. 60
d = 2.810 Å, rel. 50
d = 2.445 Å, rel. 100
d = 2.425 Å, rel. 72
d = 2.234 Å, rel. 21
d = 2.011 Å, rel. 26
d = 1.990 Å, rel. 25
d = 1.538 Å, rel. 36

***

No. 3
Structure and calculated powder XRD pattern of In7I4Cl4 (a cell relaxed with PBE; CuKα).
Peak positions follow from Bragg's law for the DFT cell and can differ from measured ones.

Crystal structure
Lattice parameters (Å, degrees): 7.347 12.712 12.718 85.80 74.57 77.10
Positions (direct):
In 0.034 0.282 0.216
In 0.069 0.421 0.916
In 0.200 0.059 0.453
In 0.270 0.027 0.871
In 0.302 0.741 0.246
In 0.319 0.384 0.496
In 0.439 0.600 0.906
In 0.561 0.400 0.094
In 0.681 0.616 0.504
In 0.698 0.259 0.754
In 0.730 0.973 0.129
In 0.800 0.941 0.547
In 0.931 0.579 0.084
In 0.966 0.718 0.784
I 0.094 0.681 0.515
I 0.107 0.015 0.206
I 0.405 0.143 0.630
I 0.477 0.212 0.276
I 0.523 0.788 0.724
I 0.595 0.857 0.370
I 0.893 0.985 0.794
I 0.906 0.319 0.485
Cl 0.043 0.754 0.072
Cl 0.181 0.509 0.208
Cl 0.317 0.446 0.743
Cl 0.364 0.291 0.982
Cl 0.636 0.709 0.018
Cl 0.683 0.554 0.257
Cl 0.819 0.491 0.792
Cl 0.957 0.246 0.928

Largest 10 diffraction maxima, by angle, 10 to 90 degrees two-theta:
d = 3.664 Å, rel. 100
d = 3.254 Å, rel. 78
d = 3.179 Å, rel. 42
d = 3.096 Å, rel. 65
d = 3.085 Å, rel. 46
d = 2.987 Å, rel. 41
d = 2.965 Å, rel. 38
d = 2.929 Å, rel. 49
d = 2.749 Å, rel. 34
d = 2.235 Å, rel. 36

***

No. 4
Structure and calculated powder XRD pattern of Na7Cu7O13 (a cell relaxed with PBE; CuKα).
Peak positions follow from Bragg's law for the DFT cell and can differ from measured ones.

Crystal structure
Lattice parameters (Å, degrees): 6.719 6.913 7.669 98.26 99.98 101.44
Positions (direct):
Na 0.000 0.000 0.000
Na 0.126 0.138 0.713
Na 0.267 0.280 0.427
Na 0.413 0.428 0.148
Na 0.552 0.539 0.847
Na 0.699 0.709 0.575
Na 0.848 0.847 0.299
Cu 0.131 0.641 0.719
Cu 0.276 0.783 0.430
Cu 0.413 0.930 0.144
Cu 0.552 0.065 0.860
Cu 0.697 0.201 0.572
Cu 0.839 0.351 0.286
Cu 0.985 0.497 0.003
O 0.052 0.332 0.164
O 0.062 0.798 0.553
O 0.191 0.939 0.270
O 0.201 0.481 0.883
O 0.344 0.623 0.597
O 0.349 0.082 0.981
O 0.479 0.221 0.682
O 0.492 0.768 0.307
O 0.629 0.366 0.410
O 0.770 0.515 0.122
O 0.772 0.044 0.743
O 0.909 0.188 0.448
O 0.915 0.659 0.841

Largest 10 diffraction maxima, by angle, 10 to 90 degrees two-theta:
d = 5.272 Å, rel. 87
d = 3.303 Å, rel. 65
d = 2.848 Å, rel. 100
d = 2.753 Å, rel. 50
d = 2.636 Å, rel. 26
d = 2.491 Å, rel. 49
d = 2.081 Å, rel. 20
d = 2.052 Å, rel. 81
d = 1.693 Å, rel. 26
d = 1.638 Å, rel. 40

***

No. 5
Structure and calculated powder XRD pattern of BaNiCl3 (a cell relaxed with PBE; CuKα).
Peak positions follow from Bragg's law for the DFT cell and can differ from measured ones.

Crystal structure
Lattice parameters (Å, degrees): 6.968 6.968 5.468 90.00 90.00 120.00
Positions (direct):
Ba 0.333 0.667 0.000
Ba 0.667 0.333 0.500
Ni 0.000 0.000 0.248
Ni 0.000 0.000 0.748
Cl 0.173 0.345 0.500
Cl 0.173 0.827 0.500
Cl 0.345 0.173 0.000
Cl 0.655 0.827 0.500
Cl 0.827 0.173 0.000
Cl 0.827 0.655 0.000

Largest 10 diffraction maxima, by angle, 10 to 90 degrees two-theta:
d = 4.052 Å, rel. 43
d = 3.484 Å, rel. 63
d = 2.642 Å, rel. 100
d = 2.490 Å, rel. 28
d = 2.105 Å, rel. 19
d = 2.026 Å, rel. 35
d = 1.751 Å, rel. 15
d = 1.742 Å, rel. 33
d = 1.560 Å, rel. 18
d = 1.454 Å, rel. 14

***

No. 6
Structure and calculated powder XRD pattern of Ac2Al6PdAu (a cell relaxed with PBE; CuKα).
Peak positions follow from Bragg's law for the DFT cell and can differ from measured ones.

Crystal structure
Lattice parameters (Å, degrees): 6.602 6.604 7.003 62.12 61.98 60.10
Positions (direct):
Ac 0.195 0.194 0.415
Ac 0.805 0.806 0.585
Al 0.173 0.633 0.873
Al 0.321 0.172 0.873
Al 0.366 0.679 0.127
Al 0.634 0.321 0.873
Al 0.679 0.828 0.127
Al 0.827 0.367 0.127
Pd 0.000 0.000 0.000
Au 0.500 0.500 0.500

Largest 10 diffraction maxima, by angle, 10 to 90 degrees two-theta:
d = 5.887 Å, rel. 30
d = 3.499 Å, rel. 16
d = 3.303 Å, rel. 100
d = 3.006 Å, rel. 26
d = 2.882 Å, rel. 62
d = 2.401 Å, rel. 17
d = 2.200 Å, rel. 21
d = 2.194 Å, rel. 17
d = 1.907 Å, rel. 24
d = 1.652 Å, rel. 15